# 1
Structure and simulated powder diffraction line list of Pm5YPb4 (a crystal structure in Alexandria, relaxed with PBE; λ = 1.5418 Å (Cu Kα)).
Neutral-atom scattering factors, no anomalous dispersion.

Atomic structure:
```
Pm5YPb4
1.0
8.3510 -2.7322 0.0000
8.3510 2.7322 0.0000
-0.0581 0.0000 7.3318
Pm Y Pb
5 1 4
direct
0.0000 0.0000 0.0000
0.3333 0.3333 0.4929
0.3338 0.3338 0.0049
0.6662 0.6662 0.9951
0.6667 0.6667 0.5071
0.0000 0.0000 0.5000
0.1748 0.1748 0.7487
0.4914 0.4914 0.7459
0.5086 0.5086 0.2541
0.8252 0.8252 0.2513
```

Largest 10 diffraction maxima, most intense first, 2θ = 10–80°:
d [Å], Rel. int.
2.678, 100.0
2.664, 99.8
2.784, 53.4
2.732, 53.4
1.950, 38.6
4.236, 32.6
1.564, 20.2
1.567, 20.0
1.589, 19.0
1.227, 18.4



# 2
Structure and simulated powder diffraction line list of Tb3Hg3Au2 (a crystal structure in Alexandria, relaxed with PBE; λ = 1.5418 Å (Cu Kα)).
Neutral-atom scattering factors, no anomalous dispersion.

Atomic structure:
```
Tb3Hg3Au2
1.0
7.7448 0.0000 0.0000
-3.8724 6.7072 0.0000
0.0000 0.0000 3.7750
Tb Hg Au
3 3 2
direct
0.0000 0.5888 0.0000
0.4112 0.4112 0.0000
0.5888 0.0000 0.0000
0.0000 0.2298 0.5000
0.2298 0.0000 0.5000
0.7702 0.7702 0.5000
0.3333 0.6667 0.5000
0.6667 0.3333 0.5000
```

Largest 10 diffraction maxima, most intense first, 2θ = 10–80°:
d [Å], Rel. int.
2.703, 100.0
2.535, 87.8
2.507, 59.7
1.514, 36.7
2.105, 32.0
1.365, 26.1
1.425, 20.4
1.887, 20.2
2.236, 18.9
1.669, 18.5



# 3
Structure and simulated powder diffraction line list of KNa2YSi6O15 (a crystal structure in Alexandria, relaxed with PBE; λ = 1.5418 Å (Cu Kα)).
Neutral-atom scattering factors, no anomalous dispersion.

Atomic structure:
```
KNa2YSi6O15
1.0
-4.3316 7.5692 5.3897
4.3316 -7.5692 5.3897
4.3316 7.5692 -5.3897
K Na Y Si O
2 4 2 12 30
direct
0.4288 0.1788 0.2500
0.5712 0.8212 0.7500
0.2432 0.0000 0.7432
0.2432 0.5000 0.2432
0.7568 0.0000 0.2568
0.7568 0.5000 0.7568
0.0000 0.0000 0.0000
0.5000 0.0000 0.5000
0.0669 0.7166 0.3503
0.1337 0.2834 0.8503
0.1745 0.3563 0.4738
0.1745 0.7007 0.8183
0.3825 0.3563 0.6817
0.3825 0.7007 0.0262
0.6175 0.2993 0.9738
0.6175 0.6437 0.3183
0.8255 0.2993 0.1817
0.8255 0.6437 0.5262
0.8663 0.7166 0.1497
0.9331 0.2834 0.6497
0.0149 0.2244 0.4860
0.0149 0.5289 0.7905
0.0246 0.7746 0.2500
0.1102 0.1827 0.9275
0.1687 0.2746 0.2780
0.1687 0.8907 0.8941
0.2132 0.5903 0.6229
0.2384 0.2244 0.7095
0.2384 0.5289 0.0140
0.2449 0.8173 0.4275
0.3171 0.3588 0.5417
0.3171 0.7754 0.9583
0.4674 0.5903 0.8771
0.4965 0.2746 0.6059
0.4965 0.8907 0.2220
0.5035 0.1093 0.7780
0.5035 0.7254 0.3941
0.5326 0.4097 0.1229
0.6829 0.2246 0.0417
0.6829 0.6412 0.4583
0.7551 0.1827 0.5725
0.7616 0.4711 0.9860
0.7616 0.7756 0.2905
0.7868 0.4097 0.3771
0.8313 0.1093 0.1059
0.8313 0.7254 0.7220
0.8898 0.8173 0.0725
0.9754 0.2254 0.7500
0.9851 0.4711 0.2095
0.9851 0.7756 0.5140
```

Largest 10 diffraction maxima, most intense first, 2θ = 10–80°:
d [Å], Rel. int.
5.039, 100.0
3.301, 96.3
3.083, 86.1
2.520, 39.5
2.789, 34.3
3.496, 33.3
3.040, 26.8
5.390, 24.6
2.009, 18.4
2.273, 18.0



# 4
Structure and simulated powder diffraction line list of Ti4Nb2Tl (a crystal structure in Alexandria, relaxed with PBE; λ = 1.5418 Å (Cu Kα)).
Neutral-atom scattering factors, no anomalous dispersion.

Atomic structure:
```
Ti4Nb2Tl
1.0
4.8150 0.0000 0.0000
-2.4075 4.1699 0.0000
0.0000 0.0000 7.3566
Ti Nb Tl
4 2 1
direct
0.3333 0.6667 0.2542
0.3333 0.6667 0.9112
0.6667 0.3333 0.0888
0.6667 0.3333 0.7458
0.3333 0.6667 0.5785
0.6667 0.3333 0.4215
0.0000 0.0000 0.0000
```

Largest 10 diffraction maxima, most intense first, 2θ = 10–80°:
d [Å], Rel. int.
3.628, 100.0
2.408, 92.6
2.114, 56.2
2.758, 27.0
1.326, 23.4
1.588, 22.0
2.014, 21.0
2.006, 20.1
3.678, 17.8
1.541, 17.6



# 5
Structure and simulated powder diffraction line list of K3Au2Br (a crystal structure in Alexandria, relaxed with PBE; λ = 1.5418 Å (Cu Kα)).
Neutral-atom scattering factors, no anomalous dispersion.

Atomic structure:
```
K3Au2Br
1.0
-2.3851 2.3851 10.1487
2.3851 -2.3851 10.1487
2.3851 2.3851 -10.1487
K Au Br
3 2 1
direct
0.0000 0.0000 0.0000
0.3362 0.3362 0.0000
0.6638 0.6638 0.0000
0.1684 0.1684 0.0000
0.8316 0.8316 0.0000
0.5000 0.5000 0.0000
```

Largest 10 diffraction maxima, most intense first, 2θ = 10–80°:
d [Å], Rel. int.
3.376, 100.0
2.387, 77.7
3.899, 63.4
2.036, 35.9
1.949, 28.0
1.509, 24.2
1.378, 17.7
1.549, 15.6
1.512, 12.0
1.299, 9.0



# 6
Structure and simulated powder diffraction line list of Pm2Zn2Pd3 (a crystal structure in Alexandria, relaxed with PBE; λ = 1.5418 Å (Cu Kα)).
Neutral-atom scattering factors, no anomalous dispersion.

Atomic structure:
```
Pm2Zn2Pd3
1.0
2.0361 -9.4411 0.0000
2.0361 9.4411 0.0000
0.0000 0.0000 7.4694
Pm Zn Pd
4 4 6
direct
0.0611 0.9389 0.7500
0.1549 0.8451 0.2500
0.8451 0.1549 0.7500
0.9389 0.0611 0.2500
0.3065 0.6935 0.0531
0.3065 0.6935 0.4469
0.6935 0.3065 0.5531
0.6935 0.3065 0.9469
0.2242 0.7758 0.7500
0.4349 0.5651 0.5637
0.4349 0.5651 0.9363
0.5651 0.4349 0.0637
0.5651 0.4349 0.4363
0.7758 0.2242 0.2500
```

Largest 10 diffraction maxima, most intense first, 2θ = 10–80°:
d [Å], Rel. int.
2.596, 100.0
2.724, 99.9
2.202, 40.1
2.036, 36.3
1.495, 23.0
1.926, 21.3
2.900, 21.2
2.360, 20.5
1.668, 18.9
1.315, 18.7



# 7
Structure and simulated powder diffraction line list of Ac5La3Pr3 (a crystal structure in Alexandria, relaxed with PBE; λ = 1.5418 Å (Cu Kα)).
Neutral-atom scattering factors, no anomalous dispersion.

Atomic structure:
```
Ac5La3Pr3
1.0
11.9528 0.0000 0.0000
-5.9764 10.3514 0.0000
0.0000 0.0000 3.7030
Ac La Pr
5 3 3
direct
0.0000 0.6583 0.0000
0.3333 0.6667 0.0000
0.3417 0.3417 0.0000
0.6583 0.0000 0.0000
0.6667 0.3333 0.0000
0.0000 0.3907 0.5000
0.3907 0.0000 0.5000
0.6093 0.6093 0.5000
0.0000 0.1586 0.0000
0.1586 0.0000 0.0000
0.8414 0.8414 0.0000
```

Largest 10 diffraction maxima, most intense first, 2θ = 10–80°:
d [Å], Rel. int.
3.450, 100.0
3.148, 79.3
2.325, 61.6
2.871, 46.7
2.689, 42.2
3.703, 33.0
1.564, 31.7
2.524, 28.3
2.988, 25.1
3.912, 24.5



# 8
Structure and simulated powder diffraction line list of HfTiAgOs (a crystal structure in Alexandria, relaxed with PBE; λ = 1.5418 Å (Cu Kα)).
Neutral-atom scattering factors, no anomalous dispersion.

Atomic structure:
```
HfTiAgOs
1.0
0.0000 3.2520 3.2520
3.2520 0.0000 3.2520
3.2520 3.2520 0.0000
Hf Ti Ag Os
1 1 1 1
direct
0.0000 0.0000 0.0000
0.5000 0.5000 0.5000
0.7500 0.7500 0.7500
0.2500 0.2500 0.2500
```

Largest 10 diffraction maxima, most intense first, 2θ = 10–80°:
d [Å], Rel. int.
2.300, 100.0
1.328, 34.1
3.755, 19.1
1.626, 16.9
1.961, 10.5
1.492, 4.6
1.252, 3.5
3.252, 2.7
1.454, 1.0
1.878, 0.8



# 9
Structure and simulated powder diffraction line list of RbPtCl (a crystal structure in Alexandria, relaxed with PBE; λ = 1.5418 Å (Cu Kα)).
Neutral-atom scattering factors, no anomalous dispersion.

Atomic structure:
```
RbPtCl
1.0
-1.8830 2.8653 8.3104
1.8830 -2.8653 8.3104
1.8830 2.8653 -8.3104
Rb Pt Cl
2 2 2
direct
0.0000 0.0000 0.0000
0.2515 0.2515 0.0000
0.6295 0.1295 0.5000
0.7344 0.7344 0.0000
0.5282 0.5282 0.0000
0.8387 0.3387 0.5000
```

Largest 10 diffraction maxima, most intense first, 2θ = 10–80°:
d [Å], Rel. int.
2.509, 100.0
8.310, 89.9
5.418, 83.1
2.865, 40.8
2.079, 33.9
1.882, 25.5
1.576, 24.8
3.983, 24.2
2.492, 15.8
2.709, 13.3



# 10
Structure and simulated powder diffraction line list of SiIr2Br (a crystal structure in Alexandria, relaxed with PBE; λ = 1.5418 Å (Cu Kα)).
Neutral-atom scattering factors, no anomalous dispersion.

Atomic structure:
```
SiIr2Br
1.0
2.9755 0.0000 0.0000
0.0000 2.9836 0.0000
0.0000 0.0000 7.3589
Si Ir Br
1 2 1
direct
0.0000 0.0000 0.0000
0.5000 0.5000 0.1852
0.5000 0.5000 0.8148
0.0000 0.5000 0.5000
```

Largest 10 diffraction maxima, most intense first, 2θ = 10–80°:
d [Å], Rel. int.
2.981, 100.0
2.315, 69.9
1.894, 66.0
2.453, 38.3
1.828, 37.7
2.025, 35.3
2.107, 31.4
7.359, 30.5
2.759, 27.1
1.207, 20.0



# 11
Structure and simulated powder diffraction line list of DyMgGa4 (a crystal structure in Alexandria, relaxed with PBE; λ = 1.5418 Å (Cu Kα)).
Neutral-atom scattering factors, no anomalous dispersion.

Atomic structure:
```
DyMgGa4
1.0
-2.1726 3.3365 4.0257
2.1726 -3.3365 4.0257
2.1726 3.3365 -4.0257
Dy Mg Ga
1 1 4
direct
0.0000 0.0000 0.0000
0.5000 0.0000 0.5000
0.1221 0.3356 0.7866
0.4510 0.6644 0.7866
0.5490 0.3356 0.2134
0.8779 0.6644 0.2134
```

Largest 10 diffraction maxima, most intense first, 2θ = 10–80°:
d [Å], Rel. int.
2.514, 100.0
2.283, 84.7
3.641, 52.1
2.569, 50.0
2.173, 36.6
5.138, 28.3
1.659, 26.2
1.275, 21.5
2.490, 19.1
1.347, 17.6



# 12
Structure and simulated powder diffraction line list of AcSm4Dy8 (a crystal structure in Alexandria, relaxed with PBE; λ = 1.5418 Å (Cu Kα)).
Neutral-atom scattering factors, no anomalous dispersion.

Atomic structure:
```
AcSm4Dy8
1.0
5.1163 -3.5417 0.0000
5.1163 3.5417 0.0000
-3.1920 0.0000 12.0632
Ac Sm Dy
1 4 8
direct
0.0000 0.0000 0.0000
0.2596 0.7404 0.5000
0.2820 0.2820 0.6455
0.7180 0.7180 0.3545
0.7404 0.2596 0.5000
0.1748 0.6443 0.2095
0.1906 0.1906 0.3430
0.3501 0.3501 0.9363
0.3557 0.8252 0.7905
0.6443 0.1748 0.2095
0.6499 0.6499 0.0637
0.8094 0.8094 0.6570
0.8252 0.3557 0.7905
```

Largest 10 diffraction maxima, most intense first, 2θ = 10–80°:
d [Å], Rel. int.
2.900, 100.0
2.929, 86.5
2.658, 84.6
2.790, 43.6
2.880, 34.6
2.555, 32.9
1.495, 24.6
1.515, 23.6
1.743, 22.0
3.073, 20.6



# 13
Structure and simulated powder diffraction line list of Pm4SiAs3 (a crystal structure in Alexandria, relaxed with PBE; λ = 1.5418 Å (Cu Kα)).
Neutral-atom scattering factors, no anomalous dispersion.

Atomic structure:
```
Pm4SiAs3
1.0
5.9879 0.0000 0.0000
0.0000 5.9879 0.0000
0.0000 0.0000 5.9879
Pm Si As
4 1 3
direct
0.0000 0.0000 0.0000
0.0000 0.5000 0.5000
0.5000 0.0000 0.5000
0.5000 0.5000 0.0000
0.5000 0.5000 0.5000
0.0000 0.0000 0.5000
0.0000 0.5000 0.0000
0.5000 0.0000 0.0000
```

Largest 10 diffraction maxima, most intense first, 2θ = 10–80°:
d [Å], Rel. int.
2.994, 100.0
2.117, 74.9
1.339, 33.9
3.457, 28.1
1.729, 26.5
1.222, 25.2
1.805, 13.9
1.497, 12.3
1.374, 5.7
5.988, 1.6